Starting from a DFT-relaxed cell (PBE, OQMD), the PXRD pattern of Ta4CoTe4 was calculated for Cu Kα X-rays.

Structural model:
```
data_Ta4CoTe4
_chemical_formula_sum 'Ta16 Co4 Te16'
_space_group_name_H-M_alt 'P b a m'
_space_group_IT_number 55
_cell_length_a 10.7935
_cell_length_b 18.7030
_cell_length_c 4.7997
_cell_angle_alpha 90.00
_cell_angle_beta 90.00
_cell_angle_gamma 90.00
loop_
_space_group_symop_operation_xyz
'x,y,z'
'-x,-y,-z'
'-x,-y,z'
'x,y,-z'
'x+1/2,-y+1/2,-z'
'-x+1/2,y+1/2,z'
'-x+1/2,y+1/2,-z'
'x+1/2,-y+1/2,z'
loop_
_atom_site_label
_atom_site_type_symbol
_atom_site_fract_x
_atom_site_fract_y
_atom_site_fract_z
Ta1 Ta 0.0645 0.1174 0.0000
Ta2 Ta 0.0991 0.8911 0.5000
Ta3 Ta 0.1903 0.0573 0.5000
Ta4 Ta 0.2049 0.9635 0.0000
Co1 Co 0.0000 0.0000 0.2500
Te1 Te 0.1097 0.2032 0.5000
Te2 Te 0.1468 0.4356 0.5000
Te3 Te 0.1702 0.8119 0.0000
Te4 Te 0.1713 0.5995 0.0000
```

Peak list (10 most intense, 5° ≤ 2θ ≤ 70°, by angle)
- 2θ = 9.5°, I = 100, (0 2 0)
- 2θ = 16.4°, I = 8, (2 0 0)
- 2θ = 32.5°, I = 11, (3 2 1)
- 2θ = 34.6°, I = 13, (2 5 1)
- 2θ = 35.3°, I = 20, (1 6 1)
- 2θ = 36.7°, I = 8, (3 4 1)
- 2θ = 37.5°, I = 15, (0 0 2)
- 2θ = 38.6°, I = 10, (4 1 1)
- 2θ = 41.0°, I = 15, (4 3 1)
- 2θ = 42.2°, I = 14, (2 7 1)



Starting from a DFT-relaxed cell (PBE, OQMD), the PXRD pattern of TaCo2Te6 was calculated for Cu Kα X-rays.

Structural model:
```
data_TaCo2Te6
_chemical_formula_sum 'Ta2 Co4 Te12'
_space_group_name_H-M_alt 'C 1 m 1'
_space_group_IT_number 8
_cell_length_a 15.1655
_cell_length_b 3.6874
_cell_length_c 9.6930
_cell_angle_alpha 90.00
_cell_angle_beta 117.63
_cell_angle_gamma 90.00
loop_
_space_group_symop_operation_xyz
'x,y,z'
'x,-y,z'
'x+1/2,y+1/2,z'
'x+1/2,-y+1/2,z'
loop_
_atom_site_label
_atom_site_type_symbol
_atom_site_fract_x
_atom_site_fract_y
_atom_site_fract_z
Ta1 Ta 0.0000 0.0000 0.0000
Co1 Co 0.1518 0.5000 0.3146
Co2 Co 0.3494 0.0000 0.6888
Te1 Te 0.0310 0.0000 0.3066
Te2 Te 0.1504 0.5000 0.0489
Te3 Te 0.2178 0.5000 0.6126
Te4 Te 0.2831 0.0000 0.3905
Te5 Te 0.3501 0.0000 0.9540
Te6 Te 0.4697 0.5000 0.6950
```

Peak list (10 most intense, 5° ≤ 2θ ≤ 70°, by angle)
- 2θ = 12.4°, I = 100, (2 0 -1)
- 2θ = 25.0°, I = 19, (4 0 -2)
- 2θ = 30.6°, I = 21, (1 1 -2)
- 2θ = 31.2°, I = 40, (0 0 3)
- 2θ = 31.4°, I = 98, (3 1 0)
- 2θ = 37.6°, I = 29, (2 0 -4)
- 2θ = 38.8°, I = 42, (5 1 -1)
- 2θ = 47.1°, I = 34, (5 1 -4)
- 2θ = 49.4°, I = 19, (0 2 0)
- 2θ = 51.5°, I = 30, (3 1 3)



Starting from a DFT-relaxed cell (PBE, OQMD), the PXRD pattern of TaCo6W was calculated for Cu Kα X-rays.

Structural model:
```
data_TaCo6W
_chemical_formula_sum 'Ta1 Co6 W1'
_space_group_name_H-M_alt 'P m m 2'
_space_group_IT_number 25
_cell_length_a 4.1033
_cell_length_b 5.1188
_cell_length_c 4.4811
_cell_angle_alpha 90.00
_cell_angle_beta 90.00
_cell_angle_gamma 90.00
loop_
_space_group_symop_operation_xyz
'x,y,z'
'-x,-y,z'
'-x,y,z'
'x,-y,z'
loop_
_atom_site_label
_atom_site_type_symbol
_atom_site_fract_x
_atom_site_fract_y
_atom_site_fract_z
Ta1 Ta 0.0000 0.0000 0.0000
Co1 Co 0.0000 0.2510 0.5046
Co2 Co 0.0000 0.5000 0.0234
Co3 Co 0.5000 0.0000 0.6478
Co4 Co 0.5000 0.2580 0.1820
W1 W 0.5000 0.5000 0.6837
```

Peak list (10 most intense, 5° ≤ 2θ ≤ 70°, by angle)
- 2θ = 26.4°, I = 19, (0 1 1)
- 2θ = 27.9°, I = 29, (1 1 0)
- 2θ = 29.5°, I = 19, (1 0 1)
- 2θ = 34.4°, I = 13, (1 1 1)
- 2θ = 40.3°, I = 11, (0 0 2)
- 2θ = 40.6°, I = 27, (0 2 1)
- 2θ = 44.1°, I = 49, (2 0 0)
- 2θ = 46.2°, I = 53, (1 0 2)
- 2θ = 46.5°, I = 100, (1 2 1)
- 2θ = 61.5°, I = 15, (2 2 1)



Starting from a DFT-relaxed cell (PBE, OQMD), the PXRD pattern of ZrTa3Co2 was calculated for Cu Kα X-rays.

Structural model:
```
data_ZrTa3Co2
_chemical_formula_sum 'Zr4 Ta12 Co8'
_space_group_name_H-M_alt 'F m m 2'
_space_group_IT_number 42
_space_group_name_Hall 'F 2 -2'
_cell_length_a 5.0859
_cell_length_b 8.8004
_cell_length_c 8.6604
_cell_angle_alpha 90.00
_cell_angle_beta 90.00
_cell_angle_gamma 90.00
loop_
_atom_site_label
_atom_site_type_symbol
_atom_site_fract_x
_atom_site_fract_y
_atom_site_fract_z
Zr1 Zr 0.0000 0.0000 0.0000
Ta1 Ta 0.0000 0.0000 0.6735
Ta2 Ta 0.0000 0.1619 0.3382
Co1 Co 0.2500 0.2500 0.0904
```

Peak list (10 most intense, 5° ≤ 2θ ≤ 70°, by angle)
- 2θ = 35.3°, I = 28, (2 0 0)
- 2θ = 36.9°, I = 100, (1 3 1)
- 2θ = 37.2°, I = 81, (1 1 3)
- 2θ = 41.2°, I = 19, (2 0 2)
- 2θ = 46.3°, I = 60, (0 4 2)
- 2θ = 46.8°, I = 20, (0 2 4)
- 2θ = 64.4°, I = 20, (3 3 1)
- 2θ = 64.6°, I = 21, (0 0 6)
- 2θ = 64.7°, I = 12, (1 5 3)
- 2θ = 65.2°, I = 17, (1 3 5)



Starting from a DFT-relaxed cell (PBE, OQMD), the PXRD pattern of ZrTaCo was calculated for Cu Kα X-rays.

Structural model:
```
data_ZrTaCo
_chemical_formula_sum 'Zr8 Ta8 Co8'
_space_group_name_H-M_alt 'F m m m'
_space_group_IT_number 69
_space_group_name_Hall '-F 2 2'
_cell_length_a 5.1914
_cell_length_b 8.6753
_cell_length_c 8.9487
_cell_angle_alpha 90.00
_cell_angle_beta 90.00
_cell_angle_gamma 90.00
loop_
_atom_site_label
_atom_site_type_symbol
_atom_site_fract_x
_atom_site_fract_y
_atom_site_fract_z
Zr1 Zr 0.0000 0.1651 0.0000
Ta1 Ta 0.0000 0.0000 0.3373
Co1 Co 0.2500 0.2500 0.2500
```

Peak list (10 most intense, 5° ≤ 2θ ≤ 70°, by angle)
- 2θ = 22.3°, I = 13, (1 1 1)
- 2θ = 34.6°, I = 25, (2 0 0)
- 2θ = 36.2°, I = 100, (1 1 3)
- 2θ = 37.0°, I = 65, (1 3 1)
- 2θ = 40.5°, I = 28, (2 2 0)
- 2θ = 45.5°, I = 37, (2 2 2)
- 2θ = 45.6°, I = 23, (0 2 4)
- 2θ = 46.5°, I = 18, (0 4 2)
- 2θ = 63.0°, I = 20, (3 1 3)
- 2θ = 64.7°, I = 18, (1 5 3)



Starting from a DFT-relaxed cell (PBE, OQMD), the PXRD pattern of TbTlCoTe3 was calculated for Cu Kα X-rays.

Structural model:
```
data_TbTlCoTe3
_chemical_formula_sum 'Tb4 Tl4 Co4 Te12'
_space_group_name_H-M_alt 'P n m a'
_space_group_IT_number 62
_cell_length_a 11.3435
_cell_length_b 4.2017
_cell_length_c 15.8000
_cell_angle_alpha 90.00
_cell_angle_beta 90.00
_cell_angle_gamma 90.00
loop_
_space_group_symop_operation_xyz
'x,y,z'
'-x,-y,-z'
'-x+1/2,-y,z+1/2'
'x+1/2,y,-z+1/2'
'x+1/2,-y+1/2,-z+1/2'
'-x+1/2,y+1/2,z+1/2'
'-x,y+1/2,-z'
'x,-y+1/2,z'
loop_
_atom_site_label
_atom_site_type_symbol
_atom_site_fract_x
_atom_site_fract_y
_atom_site_fract_z
Tb1 Tb 0.0154 0.2500 0.2441
Tl1 Tl 0.2233 0.7500 0.5017
Co1 Co 0.2395 0.2500 0.7223
Te1 Te 0.0578 0.2500 0.6237
Te2 Te 0.0899 0.7500 0.1139
Te3 Te 0.2383 0.7500 0.8218
```

Peak list (10 most intense, 5° ≤ 2θ ≤ 70°, by angle)
- 2θ = 19.3°, I = 28, (2 0 2)
- 2θ = 26.1°, I = 34, (3 0 2)
- 2θ = 27.1°, I = 33, (0 1 3)
- 2θ = 28.3°, I = 100, (1 1 3)
- 2θ = 31.5°, I = 59, (4 0 0)
- 2θ = 32.4°, I = 33, (3 1 1)
- 2θ = 37.7°, I = 27, (2 0 6)
- 2θ = 39.1°, I = 47, (4 0 4)
- 2θ = 43.1°, I = 35, (0 2 0)
- 2θ = 48.8°, I = 20, (5 1 3)